[1]
This entry pairs a crystal structure of Pt5I12Br with its computed powder diffractogram. Radiation: copper Kα. Structure: a cell relaxed with GGA-PBE.

Most intense lines, 2θ = 10–80°, low angle first:
2θ (°), d [Å], intensity
12.2, 7.277, 100
20.6, 4.312, 39
22.2, 3.998, 37
22.6, 3.927, 40
23.5, 3.786, 36
25.3, 3.519, 20
25.8, 3.451, 29
33.6, 2.667, 26
34.3, 2.618, 23
41.4, 2.179, 52

```
data_Pt5I12Br
_chemical_formula_sum 'Pt5 I12 Br1'
_space_group_name_H-M_alt 'P -1'
_space_group_IT_number 2
_cell_length_a 5.848
_cell_length_b 8.974
_cell_length_c 15.197
_cell_angle_alpha 73.30
_cell_angle_beta 85.24
_cell_angle_gamma 76.99
loop_
_space_group_symop_operation_xyz
'x,y,z'
'-x,-y,-z'
loop_
_atom_site_label
_atom_site_type_symbol
_atom_site_fract_x
_atom_site_fract_y
_atom_site_fract_z
_atom_site_occupancy
Pt1 Pt 0.000 0.000 0.000 1
Pt2 Pt 0.210 0.162 0.475 1
Pt3 Pt 0.330 0.334 0.002 1
I1 I 0.011 0.337 0.322 1
I2 I 0.101 0.717 0.419 1
I3 I 0.105 0.135 0.119 1
I4 I 0.221 0.199 0.884 1
I5 I 0.443 0.968 0.618 1
I6 I 0.444 0.472 0.117 1
Br1 Br 0.500 0.500 0.500 1
```



[2]
This entry pairs a crystal structure of SrMoSe with its computed powder diffractogram. Radiation: copper Kα. Structure: a cell relaxed with GGA-PBE.

Most intense lines, 2θ = 10–80°, low angle first:
2θ (°), d [Å], intensity
15.2, 5.836, 17
27.3, 3.263, 7
30.6, 2.918, 21
35.1, 2.559, 100
37.4, 2.403, 61
49.1, 1.855, 22
54.0, 1.699, 21
62.0, 1.497, 24
63.3, 1.468, 10
66.0, 1.415, 31

```
data_SrMoSe
_chemical_formula_sum 'Sr2 Mo2 Se2'
_space_group_name_H-M_alt 'I 4 m m'
_space_group_IT_number 107
_space_group_name_Hall 'I 4 -2'
_cell_length_a 3.398
_cell_length_b 3.398
_cell_length_c 11.672
_cell_angle_alpha 90.00
_cell_angle_beta 90.00
_cell_angle_gamma 90.00
loop_
_atom_site_label
_atom_site_type_symbol
_atom_site_fract_x
_atom_site_fract_y
_atom_site_fract_z
_atom_site_occupancy
Sr1 Sr 0.000 0.000 0.000 1
Mo1 Mo 0.000 0.000 0.704 1
Se1 Se 0.000 0.000 0.292 1
```



[3]
This entry pairs a crystal structure of Sr4Pa3WN8 with its computed powder diffractogram. Radiation: copper Kα. Structure: a cell relaxed with GGA-PBE.

Most intense lines, 2θ = 10–80°, low angle first:
2θ (°), d [Å], intensity
14.9, 5.956, 45
29.9, 2.992, 22
30.0, 2.978, 38
31.1, 2.874, 100
35.8, 2.510, 98
50.8, 1.799, 34
52.2, 1.752, 33
60.1, 1.540, 18
61.4, 1.510, 35
64.9, 1.437, 17

```
data_Sr4Pa3WN8
_chemical_formula_sum 'Sr12 Pa9 W3 N24'
_space_group_name_H-M_alt 'R -3 m'
_space_group_IT_number 166
_space_group_name_Hall '-R 3 2"'
_cell_length_a 7.0094
_cell_length_b 7.0094
_cell_length_c 17.8674
_cell_angle_alpha 90.00
_cell_angle_beta 90.00
_cell_angle_gamma 120.00
loop_
_atom_site_label
_atom_site_type_symbol
_atom_site_fract_x
_atom_site_fract_y
_atom_site_fract_z
_atom_site_occupancy
Sr1 Sr 0.0000 0.0000 0.0000 1
Sr2 Sr 0.0000 0.5000 0.0000 1
Pa1 Pa 0.0000 0.5000 0.5000 1
W1 W 0.0000 0.0000 0.5000 1
N1 N 0.0000 0.0000 0.2326 1
N2 N 0.0091 0.5046 0.2315 1
```



[4]
This entry pairs a crystal structure of K3AuF12 with its computed powder diffractogram. Radiation: copper Kα. Structure: a cell relaxed with GGA-PBE.

Most intense lines, 2θ = 10–80°, low angle first:
2θ (°), d [Å], intensity
12.0, 7.404, 62
14.1, 6.287, 58
16.1, 5.519, 100
23.4, 3.798, 37
24.0, 3.702, 40
24.2, 3.682, 34
28.4, 3.143, 36
28.6, 3.119, 50
31.7, 2.824, 39
32.4, 2.759, 56

```
data_K3AuF12
_chemical_formula_sum 'K6 Au2 F24'
_space_group_name_H-M_alt 'C 1 2/m 1'
_space_group_IT_number 12
_cell_length_a 8.593
_cell_length_b 14.808
_cell_length_c 6.002
_cell_angle_alpha 90.00
_cell_angle_beta 126.09
_cell_angle_gamma 90.00
loop_
_space_group_symop_operation_xyz
'x,y,z'
'-x,-y,-z'
'-x,y,-z'
'x,-y,z'
'x+1/2,y+1/2,z'
'-x+1/2,-y+1/2,-z'
'-x+1/2,y+1/2,-z'
'x+1/2,-y+1/2,z'
loop_
_atom_site_label
_atom_site_type_symbol
_atom_site_fract_x
_atom_site_fract_y
_atom_site_fract_z
_atom_site_occupancy
K1 K 0.000 0.000 0.000 1
K2 K 0.250 0.250 0.500 1
Au1 Au 0.000 0.500 0.500 1
F1 F 0.163 0.204 0.859 1
F2 F 0.195 0.409 0.595 1
F3 F 0.224 0.052 0.835 1
```